Calculated X-ray powder pattern of PuNi2GeH for Cu Kα, from a DFT-relaxed cell (GGA-PBE, Alexandria).
Intensities are scaled so that the largest is 100.

Most intense lines, 10° ≤ 2θ ≤ 90°, low angle first:
| 2θ (°) | I/Imax | (hkl) |
| --- | --- | --- |
| 24.65 | 42.7 | 1 1 0 |
| 26.54 | 30.6 | 0 0 2 |
| 34.71 | 28.9 | 1 3 0 |
| 36.54 | 100.0 | 1 1 2 |
| 36.86 | 60.7 | 0 4 1 |
| 37.27 | 90.1 | 1 3 1 |
| 47.25 | 29.1 | 2 0 0 |
| 54.20 | 28.2 | 1 3 3 |

Cell and atoms:
abc: 3.847 10.469 6.716
angles: 90.00 90.00 90.00
Space group Cmcm (No. 63)
Asymmetric unit:
Pu  0.000  0.058  0.250 (multiplicity 4)
Ni  0.000  0.338  0.058 (multiplicity 8)
Ge  0.000  0.223  0.750 (multiplicity 4)
H  0.000  0.500  0.000 (multiplicity 4)

=====

Calculated X-ray powder pattern of Nd2HPd6Au for Cu Kα, from a DFT-relaxed cell (GGA-PBE, Alexandria).
Intensities are scaled so that the largest is 100.

Most intense lines, 10° ≤ 2θ ≤ 90°, low angle first:
| 2θ (°) | I/Imax | (hkl) |
| --- | --- | --- |
| 33.81 | 52.0 | 0 2 1 |
| 34.76 | 24.3 | 3 1 0 |
| 37.26 | 85.0 | 1 1 2 |
| 37.61 | 45.4 | 4 0 -1 |
| 37.73 | 49.2 | 2 0 -3 |
| 40.83 | 100.0 | 2 2 -2 |
| 41.83 | 41.3 | 2 0 2 |
| 43.18 | 36.6 | 2 2 1 |

Cell and atoms:
abc: 9.635 5.821 7.164
angles: 90.00 116.29 90.00
Space group C2/m (No. 12)
Asymmetric unit:
Nd  0.246  0.000  0.180 (multiplicity 4)
H  0.000  0.000  0.500 (multiplicity 2)
Pd  0.066  0.257  0.357 (multiplicity 8)
Pd  0.204  0.000  0.719 (multiplicity 4)
Au  0.000  0.500  0.000 (multiplicity 2)

=====

Calculated X-ray powder pattern of MgCo4P2 for Cu Kα, from a DFT-relaxed cell (GGA-PBE, Alexandria).
Intensities are scaled so that the largest is 100.

Most intense lines, 10° ≤ 2θ ≤ 90°, low angle first:
| 2θ (°) | I/Imax | (hkl) |
| --- | --- | --- |
| 18.05 | 74.8 | 1 1 0 |
| 38.98 | 100.0 | 2 1 1 |
| 41.06 | 38.6 | 3 1 0 |
| 45.28 | 52.7 | 2 2 1 |
| 47.19 | 36.4 | 3 0 1 |
| 49.13 | 76.1 | 3 1 1 |
| 53.02 | 32.5 | 0 0 2 |
| 54.43 | 39.1 | 4 1 0 |

Cell and atoms:
abc: 6.951 6.951 3.454
angles: 90.00 90.00 90.00
Space group P4_2/mnm (No. 136)
Asymmetric unit:
Mg  0.000  0.000  0.000 (multiplicity 2)
Co  0.071  0.330  0.500 (multiplicity 8)
P  0.235  0.765  0.500 (multiplicity 4)